Starting from a cell relaxed with GGA+U, the PXRD pattern of NaVO3 was simulated for CuKα.
Kinematic intensities with the Lorentz-polarization factor, no thermal factor.

Principal peaks in the range 2θ = 10–90°, low angle first:
- (2 0 0), 2θ = 12.13°, rel. 15
- (1 0 1), 2θ = 17.26°, rel. 100
- (4 0 0), 2θ = 24.40°, rel. 34
- (2 1 0), 2θ = 27.26°, rel. 31
- (4 0 1), 2θ = 29.36°, rel. 52
- (1 1 1), 2θ = 29.98°, rel. 40
- (0 0 2), 2θ = 32.62°, rel. 16
- (4 1 0), 2θ = 34.75°, rel. 23
- (3 1 2), 2θ = 45.31°, rel. 15
- (0 2 0), 2θ = 49.84°, rel. 20
- (5 1 2), 2θ = 52.12°, rel. 12
- (4 0 3), 2θ = 56.22°, rel. 25

Crystal structure
a b c (Å): 14.598 3.659 5.490
angles (deg): 90.00 90.00 90.00
Space group Pnma (No. 62)
Asymmetric unit:
Na: 0.173 0.250 0.112 [4 per cell]
V: 0.085 0.750 0.573 [4 per cell]
O: 0.052 0.250 0.504 [4 per cell]
O: 0.112 0.750 0.869 [4 per cell]
O: 0.184 0.750 0.409 [4 per cell]


Starting from a cell relaxed with GGA+U, the PXRD pattern of Na5V12O32 was simulated for CuKα.
Kinematic intensities with the Lorentz-polarization factor, no thermal factor.

Principal peaks in the range 2θ = 10–90°, low angle first:
- (2 0 0), 2θ = 12.43°, rel. 100
- (0 0 3), 2θ = 22.63°, rel. 11
- (4 0 -2), 2θ = 24.96°, rel. 19
- (0 2 1), 2θ = 25.56°, rel. 11
- (2 2 -1), 2θ = 27.46°, rel. 54
- (2 0 3), 2θ = 29.12°, rel. 34
- (2 2 1), 2θ = 29.54°, rel. 11
- (4 0 -5), 2θ = 38.85°, rel. 15
- (4 0 3), 2θ = 38.99°, rel. 16
- (6 0 -5), 2θ = 45.19°, rel. 10
- (0 4 0), 2θ = 50.00°, rel. 20
- (6 2 2), 2θ = 52.16°, rel. 12

Crystal structure
a b c (Å): 14.953 7.297 12.377
angles (deg): 90.00 107.78 90.00
Space group Cm (No. 8)
Asymmetric unit:
Na: 0.000 0.000 0.000 [2 per cell]
Na: 0.001 0.248 0.635 [4 per cell]
Na: 0.001 0.500 0.998 [2 per cell]
Na: 0.035 0.500 0.367 [2 per cell]
V: 0.155 0.249 0.235 [4 per cell]
V: 0.180 0.000 0.855 [2 per cell]
V: 0.180 0.500 0.856 [2 per cell]
V: 0.221 0.249 0.511 [4 per cell]
V: 0.282 0.000 0.123 [2 per cell]
V: 0.284 0.500 0.124 [2 per cell]
V: 0.322 0.250 0.778 [4 per cell]
V: 0.343 0.000 0.397 [2 per cell]
V: 0.346 0.500 0.396 [2 per cell]
O: 0.053 0.252 0.133 [4 per cell]
O: 0.073 0.000 0.764 [2 per cell]
O: 0.073 0.500 0.765 [2 per cell]
O: 0.125 0.249 0.362 [4 per cell]
O: 0.147 0.254 0.585 [4 per cell]
O: 0.164 0.000 0.990 [2 per cell]
O: 0.164 0.500 0.990 [2 per cell]
O: 0.191 0.500 0.243 [2 per cell]
O: 0.193 0.000 0.242 [2 per cell]
O: 0.219 0.250 0.854 [4 per cell]
O: 0.247 0.500 0.488 [2 per cell]
O: 0.249 0.000 0.490 [2 per cell]
O: 0.253 0.250 0.143 [4 per cell]
O: 0.282 0.000 0.779 [2 per cell]
O: 0.282 0.500 0.780 [2 per cell]
O: 0.309 0.250 0.389 [4 per cell]
O: 0.338 0.251 0.644 [4 per cell]
O: 0.353 0.500 0.045 [2 per cell]
O: 0.354 0.000 0.047 [2 per cell]
O: 0.376 0.500 0.269 [2 per cell]
O: 0.377 0.000 0.270 [2 per cell]
O: 0.429 0.250 0.870 [4 per cell]
O: 0.447 0.500 0.499 [2 per cell]
O: 0.448 0.000 0.497 [2 per cell]


Starting from a cell relaxed with GGA+U, the PXRD pattern of NaV2O4 was simulated for CuKα.
Kinematic intensities with the Lorentz-polarization factor, no thermal factor.

Principal peaks in the range 2θ = 10–90°, low angle first:
- (2 0 0), 2θ = 15.39°, rel. 100
- (4 0 0), 2θ = 31.06°, rel. 10
- (0 2 1), 2θ = 34.79°, rel. 12
- (2 0 -2), 2θ = 36.25°, rel. 9
- (2 2 1), 2θ = 40.18°, rel. 40
- (4 0 -2), 2θ = 42.16°, rel. 19
- (4 2 1), 2θ = 50.57°, rel. 13
- (6 0 -2), 2θ = 52.78°, rel. 4
- (4 0 2), 2θ = 55.24°, rel. 5
- (6 2 -1), 2θ = 55.74°, rel. 9
- (2 4 0), 2θ = 63.24°, rel. 5
- (2 2 -3), 2θ = 63.41°, rel. 9

Crystal structure
a b c (Å): 11.902 6.083 5.026
angles (deg): 90.00 104.60 90.00
Space group C2/c (No. 15)
Asymmetric unit:
Na: 0.000 0.199 0.250 [4 per cell]
V: 0.247 0.133 0.762 [8 per cell]
O: 0.154 0.120 0.027 [8 per cell]
O: 0.164 0.380 0.525 [8 per cell]


Starting from a cell relaxed with GGA+U, the PXRD pattern of NaV3O8 was simulated for CuKα.
Kinematic intensities with the Lorentz-polarization factor, no thermal factor.

Principal peaks in the range 2θ = 10–90°, low angle first:
- (1 0 -1), 2θ = 12.69°, rel. 100
- (0 0 3), 2θ = 22.67°, rel. 12
- (2 0 0), 2θ = 25.36°, rel. 23
- (0 1 1), 2θ = 25.74°, rel. 12
- (1 1 0), 2θ = 27.71°, rel. 56
- (1 0 -4), 2θ = 29.37°, rel. 31
- (1 1 -2), 2θ = 29.84°, rel. 11
- (2 0 3), 2θ = 39.00°, rel. 16
- (2 0 -5), 2θ = 39.53°, rel. 16
- (0 2 0), 2θ = 50.39°, rel. 19
- (3 1 -5), 2θ = 53.03°, rel. 11
- (3 1 3), 2θ = 57.22°, rel. 15

Crystal structure
a b c (Å): 7.331 3.622 12.280
angles (deg): 90.00 106.61 90.00
Space group P2_1/m (No. 11)
Asymmetric unit:
Na: 0.184 0.250 0.183 [2 per cell]
V: 0.119 0.750 0.421 [2 per cell]
V: 0.258 0.750 0.691 [2 per cell]
V: 0.316 0.750 0.960 [2 per cell]
O: 0.047 0.250 0.428 [2 per cell]
O: 0.147 0.750 0.826 [2 per cell]
O: 0.174 0.250 0.673 [2 per cell]
O: 0.193 0.750 0.053 [2 per cell]
O: 0.222 0.750 0.319 [2 per cell]
O: 0.307 0.750 0.550 [2 per cell]
O: 0.399 0.250 0.961 [2 per cell]
O: 0.477 0.750 0.773 [2 per cell]


Starting from a cell relaxed with GGA+U, the PXRD pattern of NaV6O11 was simulated for CuKα.
Kinematic intensities with the Lorentz-polarization factor, no thermal factor.

Principal peaks in the range 2θ = 10–90°, low angle first:
- (0 0 2), 2θ = 12.93°, rel. 37
- (1 0 2), 2θ = 21.76°, rel. 50
- (0 0 4), 2θ = 26.03°, rel. 28
- (1 1 0), 2θ = 30.43°, rel. 32
- (1 0 4), 2θ = 31.50°, rel. 90
- (1 1 2), 2θ = 33.19°, rel. 88
- (2 0 0), 2θ = 35.28°, rel. 26
- (2 0 1), 2θ = 35.91°, rel. 38
- (2 0 2), 2θ = 37.72°, rel. 51
- (2 0 6), 2θ = 53.98°, rel. 100
- (2 1 4), 2θ = 54.75°, rel. 51
- (2 2 0), 2θ = 63.32°, rel. 59

Crystal structure
a b c (Å): 5.8746 5.8746 13.6944
angles (deg): 90.00 90.00 120.00
Space group P6_3/mmc (No. 194)
Asymmetric unit:
Na: 0.3333 0.6667 0.2500 [2 per cell]
V: 0.0000 0.0000 0.1502 [4 per cell]
V: 0.0000 0.5000 0.0000 [6 per cell]
V: 0.3333 0.6667 0.7500 [2 per cell]
O: 0.1332 0.2663 0.2500 [6 per cell]
O: 0.1695 0.3390 0.0727 [12 per cell]
O: 0.3333 0.6667 0.5866 [4 per cell]